Calculated X-ray powder pattern of ScAu3 for Cu Kα, 1.54184 Å, from a GGA-PBE-relaxed structure.
Lines closer than 0.1° are merged.

Atomic structure:
a b c (Å): 5.9582 5.9582 4.8454
angles (deg): 90.00 90.00 120.00
Sites, in units of the cell vectors:
Sc 0.3333 0.6667 0.2500
Sc 0.6667 0.3333 0.7500
Au 0.1674 0.3348 0.7500
Au 0.1674 0.8326 0.7500
Au 0.3348 0.1674 0.2500
Au 0.6652 0.8326 0.7500
Au 0.8326 0.1674 0.2500
Au 0.8326 0.6652 0.2500

The 10 most intense peaks (2θ from 10° to 90°), in order of rising 2θ:
- 2θ = 25.21°, intensity 18, hkl 1 0 1
- 2θ = 29.99°, intensity 8, hkl 1 1 0
- 2θ = 34.77°, intensity 24, hkl 2 0 0
- 2θ = 37.11°, intensity 27, hkl 0 0 2
- 2θ = 39.57°, intensity 100, hkl 2 0 1
- 2θ = 51.76°, intensity 15, hkl 2 0 2
- 2θ = 62.34°, intensity 18, hkl 2 2 0
- 2θ = 68.55°, intensity 20, hkl 2 0 3
- 2θ = 74.83°, intensity 21, hkl 2 2 2
- 2θ = 76.40°, intensity 15, hkl 4 0 1